Structure and theoretical X-ray powder pattern of CrNi3P4O16 (DFT lattice parameters and positions (PBE+U); Cu Kα).
Kinematic intensities with the Lorentz-polarization factor, no thermal factor.

Top 12 peaks for 2θ from 10° to 90°, low angle first:
two_theta  I/Imax  index
17.94  56.6  0 0 2
20.56  55.4  1 0 -1
23.73  15.7  0 1 2
25.80  100.0  1 1 -1
30.24  31.6  1 1 -2
31.09  59.9  0 2 0
36.57  84.9  1 1 3
37.57  23.4  1 2 -1
50.35  15.6  2 2 1
53.01  20.0  2 2 2
58.95  19.4  1 3 3
65.25  15.0  0 2 6

Structural model:
a = 4.803 Å, b = 5.753 Å, c = 9.887 Å
α = 90.00°, β = 90.03°, γ = 90.00°
Positions (direct):
Cr (0.000, 0.000, 0.000)
Ni (0.391, 0.000, 0.501)
Ni (0.512, 0.500, 0.955)
Ni (0.891, 0.500, 0.454)
P (0.054, 0.500, 0.139)
P (0.335, 0.500, 0.636)
P (0.573, 0.000, 0.820)
P (0.835, 0.000, 0.320)
O (0.129, 0.500, 0.289)
O (0.151, 0.000, 0.339)
O (0.185, 0.291, 0.564)
O (0.185, 0.709, 0.564)
O (0.198, 0.288, 0.064)
O (0.198, 0.712, 0.064)
O (0.260, 0.000, 0.850)
O (0.280, 0.500, 0.788)
O (0.625, 0.000, 0.668)
O (0.651, 0.500, 0.615)
O (0.685, 0.209, 0.391)
O (0.685, 0.791, 0.391)
O (0.729, 0.206, 0.894)
O (0.729, 0.794, 0.894)
O (0.740, 0.500, 0.120)
O (0.780, 0.000, 0.166)